Simulated powder diffractogram
Compound: Ti6ReTc
Radiation: Cu Ka
Structure: a GGA-PBE-relaxed structure

a = 7.3271 Å, b = 7.3271 Å, c = 7.3271 Å
α = 144.83°, β = 144.83°, γ = 50.59°
Sites, in units of the cell vectors:
Ti1 0.1119 0.6119 0.5000
Ti2 0.2485 0.2485 0.0000
Ti3 0.3881 0.8881 0.5000
Ti4 0.6119 0.1119 0.5000
Ti5 0.7515 0.7515 0.0000
Ti6 0.8881 0.3881 0.5000
Re1 0.0000 0.0000 0.0000
Tc1 0.5000 0.5000 0.0000

Peak list (10 most intense, 2θ from 10° to 90°, in order of rising 2θ)
2θ/deg, I/Imax
13.4, 53
28.5, 18
31.6, 14
39.6, 100
40.8, 46
50.6, 14
59.0, 16
71.1, 16
73.4, 29
85.3, 12